Pu2InRh2: simulated X-ray diffraction stick pattern (λ = 1.5418 Å (Cu Kα)), based on a PBE-relaxed structure.
Intensities are scaled so that the largest is 100.

Main lines, by angle (2θ = 10–90°):
2θ (°), I/Imax
26.48, 15
33.68, 29
35.79, 100
37.80, 36
48.37, 17
55.99, 22
57.43, 10
62.97, 16
72.09, 20
81.97, 12

```
data_Pu2InRh2
_space_group_name_H-M_alt 'P 4/m b m'
_space_group_IT_number 127
_space_group_name_Hall '-P 4 2ab'
_cell_length_a 7.526
_cell_length_b 7.526
_cell_length_c 3.763
_cell_angle_alpha 90.00
_cell_angle_beta 90.00
_cell_angle_gamma 90.00
loop_
_atom_site_label
_atom_site_type_symbol
_atom_site_fract_x
_atom_site_fract_y
_atom_site_fract_z
_atom_site_occupancy
Pu1 Pu 0.166 0.334 0.000 1
In1 In 0.000 0.000 0.500 1
Rh1 Rh 0.137 0.637 0.500 1
```

Rb3In: simulated X-ray diffraction stick pattern (λ = 1.5418 Å (Cu Kα)), based on a PBE-relaxed structure.
Intensities are scaled so that the largest is 100.

Main lines, by angle (2θ = 10–90°):
2θ (°), I/Imax
15.81, 1
25.96, 100
37.04, 19
45.78, 42
53.38, 13
60.29, 18
66.75, 4
72.91, 21
78.87, 2
84.71, 11

```
data_Rb3In
_space_group_name_H-M_alt 'F m -3 m'
_space_group_IT_number 225
_space_group_name_Hall '-F 4 2 3'
_cell_length_a 9.709
_cell_length_b 9.709
_cell_length_c 9.709
_cell_angle_alpha 90.00
_cell_angle_beta 90.00
_cell_angle_gamma 90.00
loop_
_atom_site_label
_atom_site_type_symbol
_atom_site_fract_x
_atom_site_fract_y
_atom_site_fract_z
_atom_site_occupancy
Rb1 Rb 0.000 0.000 0.000 1
Rb2 Rb 0.250 0.250 0.250 1
In1 In 0.000 0.000 0.500 1
```